(1)
The following is a theoretical X-ray powder pattern of Pr4TmAl4. It was derived from a DFT-relaxed cell (GGA-PBE, Alexandria), using Cu Kα (weighted mean of Kα1 and Kα2).
Lines closer than 0.1° are merged.

Main lines, sorted by position (5 to 70 degrees two-theta):
Position (°2θ), d [Å], Rel. int.
17.62, 5.034, 72
24.70, 3.605, 32
26.66, 3.343, 54
31.02, 2.883, 77
31.64, 2.828, 100
31.89, 2.806, 41
33.47, 2.678, 75
34.98, 2.565, 45
39.21, 2.297, 56
45.35, 2.000, 26
50.41, 1.810, 34
51.74, 1.767, 33

Structure:
abc: 8.944 8.944 6.091
angles: 90.00 90.00 90.00
Sites, in units of the cell vectors:
Pr 0.076 0.824 0.125
Pr 0.176 0.576 0.625
Pr 0.324 0.924 0.625
Pr 0.424 0.676 0.125
Pr 0.576 0.324 0.875
Pr 0.676 0.076 0.375
Pr 0.824 0.424 0.375
Pr 0.924 0.176 0.875
Tm 0.250 0.250 0.750
Tm 0.750 0.750 0.250
Al 0.066 0.162 0.357
Al 0.162 0.434 0.143
Al 0.338 0.066 0.143
Al 0.434 0.338 0.357
Al 0.566 0.662 0.643
Al 0.662 0.934 0.857
Al 0.838 0.566 0.857
Al 0.934 0.838 0.643

=====

(2)
The following is a theoretical X-ray powder pattern of La2AlOs2. It was derived from a DFT-relaxed cell (GGA-PBE, Alexandria), using Cu Kα (weighted mean of Kα1 and Kα2).
Lines closer than 0.1° are merged.

Main lines, sorted by position (5 to 70 degrees two-theta):
Position (°2θ), d [Å], Rel. int.
19.78, 4.489, 51
22.96, 3.874, 33
32.74, 2.735, 28
33.21, 2.697, 30
34.78, 2.580, 26
36.22, 2.480, 100
36.94, 2.433, 42
37.21, 2.416, 42
38.40, 2.344, 27
39.32, 2.291, 49
41.46, 2.178, 28
64.33, 1.448, 27

Structure:
abc: 5.798 5.798 8.028
angles: 103.07 103.07 60.56
Sites, in units of the cell vectors:
La 0.001 0.291 0.145
La 0.291 0.001 0.645
La 0.709 0.999 0.355
La 0.999 0.709 0.855
Al 0.403 0.597 0.250
Al 0.597 0.403 0.750
Os 0.207 0.513 0.484
Os 0.487 0.793 0.016
Os 0.513 0.207 0.984
Os 0.793 0.487 0.516

=====

(3)
The following is a theoretical X-ray powder pattern of Nb2V2S7. It was derived from a DFT-relaxed cell (GGA-PBE, Alexandria), using Cu Kα (weighted mean of Kα1 and Kα2).
Lines closer than 0.1° are merged.

Main lines, sorted by position (5 to 70 degrees two-theta):
Position (°2θ), d [Å], Rel. int.
14.06, 6.300, 38
14.97, 5.920, 87
20.83, 4.265, 100
21.92, 4.055, 60
28.40, 3.143, 35
31.81, 2.814, 40
36.81, 2.442, 37
37.56, 2.395, 27
38.64, 2.330, 17
40.65, 2.219, 61
41.07, 2.198, 42
45.99, 1.973, 26

Structure:
abc: 6.388 6.388 6.302
angles: 90.89 90.89 112.04
Sites, in units of the cell vectors:
Nb 0.141 0.859 0.000
Nb 0.859 0.141 0.000
V 0.233 0.233 0.643
V 0.767 0.767 0.357
S 0.097 0.470 0.803
S 0.106 0.106 0.282
S 0.470 0.097 0.803
S 0.500 0.500 0.500
S 0.530 0.903 0.197
S 0.894 0.894 0.718
S 0.903 0.530 0.197

=====

(4)
The following is a theoretical X-ray powder pattern of Sr2Li2Sn. It was derived from a DFT-relaxed cell (GGA-PBE, Alexandria), using Cu Kα (weighted mean of Kα1 and Kα2).
Lines closer than 0.1° are merged.

Main lines, sorted by position (5 to 70 degrees two-theta):
Position (°2θ), d [Å], Rel. int.
10.07, 8.785, 19
24.06, 3.699, 100
29.90, 2.989, 64
30.53, 2.928, 15
37.82, 2.379, 11
38.23, 2.354, 35
45.68, 1.986, 18
49.27, 1.849, 16
49.69, 1.835, 24
57.08, 1.614, 10
61.03, 1.518, 15
64.02, 1.454, 15

Structure:
abc: 4.709 4.709 8.785
angles: 90.00 90.00 120.00
Sites, in units of the cell vectors:
Sr 0.333 0.667 0.204
Sr 0.667 0.333 0.796
Li 0.333 0.667 0.564
Li 0.667 0.333 0.436
Sn 0.000 0.000 0.500

=====

(5)
The following is a theoretical X-ray powder pattern of K3Ag2Cl2F5. It was derived from a DFT-relaxed cell (GGA-PBE, Alexandria), using Cu Kα (weighted mean of Kα1 and Kα2).
Lines closer than 0.1° are merged.

Main lines, sorted by position (5 to 70 degrees two-theta):
Position (°2θ), d [Å], Rel. int.
7.41, 11.929, 66
14.85, 5.964, 43
20.05, 4.428, 80
27.22, 3.276, 68
28.00, 3.186, 100
32.95, 2.718, 68
40.02, 2.253, 75
49.07, 1.856, 27
52.77, 1.735, 32
56.15, 1.638, 20
57.88, 1.593, 22
62.28, 1.491, 20

Structure:
abc: 12.347 12.347 12.347
angles: 158.97 158.97 29.91
Sites, in units of the cell vectors:
K 0.000 0.000 0.000
K 0.166 0.166 0.000
K 0.834 0.834 0.000
Ag 0.410 0.410 0.000
Ag 0.590 0.590 0.000
Cl 0.305 0.305 0.000
Cl 0.695 0.695 0.000
F 0.087 0.587 0.500
F 0.413 0.913 0.500
F 0.500 0.500 0.000
F 0.587 0.087 0.500
F 0.913 0.413 0.500

=====

(6)
The following is a theoretical X-ray powder pattern of KTlB2I8. It was derived from a DFT-relaxed cell (GGA-PBE, Alexandria), using Cu Kα (weighted mean of Kα1 and Kα2).
Lines closer than 0.1° are merged.

Main lines, sorted by position (5 to 70 degrees two-theta):
Position (°2θ), d [Å], Rel. int.
8.32, 10.622, 19
17.84, 4.972, 12
25.15, 3.541, 31
25.65, 3.472, 100
29.56, 3.022, 90
33.75, 2.655, 13
34.39, 2.608, 12
35.20, 2.550, 15
41.98, 2.152, 17
42.62, 2.121, 19
49.58, 1.839, 22
50.13, 1.820, 13

Structure:
abc: 11.438 11.438 11.438
angles: 37.48 37.48 37.48
Sites, in units of the cell vectors:
K 0.000 0.000 0.000
Tl 0.500 0.500 0.500
B 0.240 0.240 0.240
B 0.760 0.760 0.760
I 0.054 0.671 0.483
I 0.170 0.170 0.170
I 0.329 0.517 0.946
I 0.483 0.054 0.671
I 0.517 0.946 0.329
I 0.671 0.483 0.054
I 0.830 0.830 0.830
I 0.946 0.329 0.517

=====

(7)
The following is a theoretical X-ray powder pattern of K2TbNb5O15. It was derived from a DFT-relaxed cell (GGA-PBE, Alexandria), using Cu Kα (weighted mean of Kα1 and Kα2).
Lines closer than 0.1° are merged.

Main lines, sorted by position (5 to 70 degrees two-theta):
Position (°2θ), d [Å], Rel. int.
9.81, 9.016, 55
13.89, 6.376, 44
22.47, 3.958, 27
25.18, 3.537, 40
27.43, 3.251, 34
28.87, 3.093, 49
30.05, 2.974, 36
31.37, 2.851, 47
31.68, 2.824, 100
44.96, 2.016, 30
45.86, 1.979, 32
56.04, 1.641, 49

Structure:
abc: 12.751 12.751 3.958
angles: 90.00 90.00 90.00
Sites, in units of the cell vectors:
K 0.171 0.329 0.000
K 0.329 0.829 0.000
K 0.671 0.171 0.000
K 0.829 0.671 0.000
Tb 0.000 0.000 0.000
Tb 0.500 0.500 0.000
Nb 0.000 0.500 0.500
Nb 0.076 0.788 0.500
Nb 0.212 0.076 0.500
Nb 0.288 0.576 0.500
Nb 0.424 0.288 0.500
Nb 0.500 0.000 0.500
Nb 0.576 0.712 0.500
Nb 0.712 0.424 0.500
Nb 0.788 0.924 0.500
Nb 0.924 0.212 0.500
O 0.000 0.500 0.000
O 0.001 0.342 0.500
O 0.059 0.131 0.500
O 0.078 0.814 0.000
O 0.131 0.941 0.500
O 0.158 0.499 0.500
O 0.186 0.078 0.000
O 0.217 0.717 0.500
O 0.283 0.217 0.500
O 0.314 0.578 0.000
O 0.342 0.999 0.500
O 0.369 0.441 0.500
O 0.422 0.314 0.000
O 0.441 0.631 0.500
O 0.499 0.842 0.500
O 0.500 0.000 0.000
O 0.501 0.158 0.500
O 0.559 0.369 0.500
O 0.578 0.686 0.000
O 0.631 0.559 0.500
O 0.658 0.001 0.500
O 0.686 0.422 0.000
O 0.717 0.783 0.500
O 0.783 0.283 0.500
O 0.814 0.922 0.000
O 0.842 0.501 0.500
O 0.869 0.059 0.500
O 0.922 0.186 0.000
O 0.941 0.869 0.500
O 0.999 0.658 0.500

=====

(8)
The following is a theoretical X-ray powder pattern of In5Bi6Pb. It was derived from a DFT-relaxed cell (GGA-PBE, Alexandria), using Cu Kα (weighted mean of Kα1 and Kα2).
Lines closer than 0.1° are merged.

Main lines, sorted by position (5 to 70 degrees two-theta):
Position (°2θ), d [Å], Rel. int.
31.01, 2.884, 100
31.48, 2.842, 96
34.32, 2.613, 38
36.82, 2.441, 32
37.50, 2.398, 30
51.21, 1.784, 25
51.74, 1.767, 24
59.41, 1.556, 16
59.69, 1.549, 16
62.46, 1.487, 14
63.28, 1.470, 13
63.39, 1.467, 13

Structure:
abc: 4.883 7.550 10.453
angles: 90.00 89.94 72.34
Sites, in units of the cell vectors:
In 0.000 0.000 0.000
In 0.328 0.342 0.500
In 0.335 0.330 0.000
In 0.665 0.670 0.000
In 0.672 0.658 0.500
Bi 0.170 0.664 0.249
Bi 0.170 0.664 0.751
Bi 0.500 0.000 0.251
Bi 0.500 0.000 0.749
Bi 0.830 0.336 0.249
Bi 0.830 0.336 0.751
Pb 0.000 0.000 0.500

=====

Q: What is the formula in the first record?
A: Pr4TmAl4

=====

Copy entry 1 word for word.
The following is a theoretical X-ray powder pattern of Pr4TmAl4. It was derived from a DFT-relaxed cell (GGA-PBE, Alexandria), using Cu Kα (weighted mean of Kα1 and Kα2).
Lines closer than 0.1° are merged.

Main lines, sorted by position (5 to 70 degrees two-theta):
Position (°2θ), d [Å], Rel. int.
17.62, 5.034, 72
24.70, 3.605, 32
26.66, 3.343, 54
31.02, 2.883, 77
31.64, 2.828, 100
31.89, 2.806, 41
33.47, 2.678, 75
34.98, 2.565, 45
39.21, 2.297, 56
45.35, 2.000, 26
50.41, 1.810, 34
51.74, 1.767, 33

Structure:
abc: 8.944 8.944 6.091
angles: 90.00 90.00 90.00
Sites, in units of the cell vectors:
Pr 0.076 0.824 0.125
Pr 0.176 0.576 0.625
Pr 0.324 0.924 0.625
Pr 0.424 0.676 0.125
Pr 0.576 0.324 0.875
Pr 0.676 0.076 0.375
Pr 0.824 0.424 0.375
Pr 0.924 0.176 0.875
Tm 0.250 0.250 0.750
Tm 0.750 0.750 0.250
Al 0.066 0.162 0.357
Al 0.162 0.434 0.143
Al 0.338 0.066 0.143
Al 0.434 0.338 0.357
Al 0.566 0.662 0.643
Al 0.662 0.934 0.857
Al 0.838 0.566 0.857
Al 0.934 0.838 0.643